This entry pairs a crystal structure of Ce5SiS4 with its simulated PXRD pattern. Radiation: Cu Kα X-rays. Structure: the GGA-PBE geometry in Alexandria.

Main lines, in order of rising 2θ (2θ from 10° to 90°):
| Position (°2θ) | d/Å | I (rel.) | index |
| --- | --- | --- | --- |
| 26.91 | 3.313 | 74 | 1 2 1 |
| 31.17 | 2.869 | 100 | 3 1 0 |
| 44.66 | 2.029 | 72 | 3 1 2 |
| 52.92 | 1.730 | 36 | 1 2 3 |
| 55.47 | 1.657 | 25 | 2 4 2 |
| 65.01 | 1.435 | 12 | 0 0 4 |
| 71.69 | 1.317 | 14 | 5 0 3 |
| 73.85 | 1.283 | 32 | 3 1 4 |
| 82.32 | 1.171 | 24 | 2 4 4 |
| 88.51 | 1.105 | 9 | 3 6 3 |

Atomic structure:
```
data_Ce5SiS4
_chemical_formula_sum 'Ce10 Si2 S8'
_cell_length_a 9.077
_cell_length_b 9.077
_cell_length_c 5.733
_cell_angle_alpha 90.00
_cell_angle_beta 90.00
_cell_angle_gamma 90.00
_symmetry_space_group_name_H-M 'I 4/m'
_symmetry_Int_Tables_number 87
_symmetry_space_group_name_Hall '-I 4'
loop_
_atom_site_label
_atom_site_type_symbol
_atom_site_fract_x
_atom_site_fract_y
_atom_site_fract_z
Ce1 Ce 0.000 0.000 0.000
Ce2 Ce 0.101 0.697 0.500
Si1 Si 0.000 0.000 0.500
S1 S 0.102 0.700 0.000
```

This entry pairs a crystal structure of Ce6Si4S17 with its simulated PXRD pattern. Radiation: Cu Kα X-rays. Structure: the GGA-PBE geometry in Alexandria.

Main lines, in order of rising 2θ (2θ from 10° to 90°):
| Position (°2θ) | d/Å | I (rel.) | index |
| --- | --- | --- | --- |
| 13.30 | 6.658 | 47 | 1 -1 0 |
| 20.35 | 4.363 | 73 | 0 2 2 |
| 20.67 | 4.297 | 74 | 1 0 3 |
| 21.65 | 4.105 | 43 | 1 0 -3 |
| 21.94 | 4.051 | 100 | 1 -2 1 |
| 22.17 | 4.010 | 44 | 1 2 -1 |
| 22.65 | 3.926 | 44 | -2 1 1 |
| 32.84 | 2.728 | 52 | 0 2 -4 |
| 34.78 | 2.580 | 64 | 3 1 -2 |
| 35.03 | 2.562 | 39 | 1 2 5 |

Atomic structure:
```
data_Ce6Si4S17
_chemical_formula_sum 'Ce12 Si8 S34'
_cell_length_a 8.983
_cell_length_b 10.040
_cell_length_c 14.406
_cell_angle_alpha 82.22
_cell_angle_beta 86.75
_cell_angle_gamma 89.22
_symmetry_space_group_name_H-M 'P -1'
_symmetry_Int_Tables_number 2
loop_
_symmetry_equiv_pos_as_xyz
'x,y,z'
'-x,-y,-z'
loop_
_atom_site_label
_atom_site_type_symbol
_atom_site_fract_x
_atom_site_fract_y
_atom_site_fract_z
Ce1 Ce 0.019 0.271 0.458
Ce2 Ce 0.083 0.581 0.166
Ce3 Ce 0.106 0.883 0.816
Ce4 Ce 0.327 0.913 0.342
Ce5 Ce 0.368 0.567 0.677
Ce6 Ce 0.450 0.238 0.001
Si1 Si 0.230 0.939 0.099
Si2 Si 0.249 0.997 0.584
Si3 Si 0.251 0.559 0.923
Si4 Si 0.274 0.559 0.393
S1 S 0.007 0.873 0.115
S2 S 0.013 0.990 0.624
S3 S 0.040 0.648 0.951
S4 S 0.070 0.643 0.722
S5 S 0.104 0.701 0.346
S6 S 0.186 0.482 0.531
S7 S 0.247 0.115 0.167
S8 S 0.258 0.385 0.851
S9 S 0.296 0.806 0.540
S10 S 0.298 0.410 0.304
S11 S 0.306 0.133 0.463
S12 S 0.320 0.981 0.957
S13 S 0.340 0.502 0.056
S14 S 0.357 0.025 0.706
S15 S 0.366 0.783 0.167
S16 S 0.384 0.711 0.839
S17 S 0.483 0.656 0.392
```

This entry pairs a crystal structure of Ce6SmS12 with its simulated PXRD pattern. Radiation: Cu Kα X-rays. Structure: the GGA-PBE geometry in Alexandria.

Main lines, in order of rising 2θ (2θ from 10° to 90°):
| Position (°2θ) | d/Å | I (rel.) | index |
| --- | --- | --- | --- |
| 23.38 | 3.805 | 100 | 2 1 1 |
| 23.56 | 3.776 | 30 | 0 0 3 |
| 27.11 | 3.289 | 22 | 3 -2 2 |
| 38.60 | 2.332 | 43 | 1 4 0 |
| 38.83 | 2.319 | 41 | 2 1 4 |
| 45.62 | 1.989 | 16 | 6 -4 1 |
| 45.72 | 1.984 | 23 | 1 4 3 |
| 45.92 | 1.976 | 14 | 3 -2 5 |
| 47.81 | 1.903 | 9 | 6 -2 2 |
| 55.91 | 1.645 | 10 | 6 -4 4 |

Atomic structure:
```
data_Ce6SmS12
_chemical_formula_sum 'Ce18 Sm3 S36'
_cell_length_a 12.3421
_cell_length_b 12.3421
_cell_length_c 11.3291
_cell_angle_alpha 90.00
_cell_angle_beta 90.00
_cell_angle_gamma 120.00
_symmetry_space_group_name_H-M 'R -3'
_symmetry_Int_Tables_number 148
_symmetry_space_group_name_Hall '-R 3'
loop_
_atom_site_label
_atom_site_type_symbol
_atom_site_fract_x
_atom_site_fract_y
_atom_site_fract_z
Ce1 Ce 0.0492 0.2651 0.1479
Sm1 Sm 0.0000 0.0000 0.5000
S1 S 0.0356 0.2191 0.8964
S2 S 0.0458 0.2166 0.3886
```